For Mg6NbC, a structure optimized by DFT (PBE) gives the theoretical PXRD pattern in this record (Cu Kα).

Structure:
Cell: 4.560 6.571 6.571 Å, 49.93 90.00 90.00°
Fractional coordinates of all 8 atoms:
Mg1 0.000 0.000 0.000
Mg2 0.000 0.002 0.497
Mg3 0.000 0.465 0.465
Mg4 0.000 0.497 0.002
Mg5 0.500 0.355 0.864
Mg6 0.500 0.864 0.355
Nb1 0.500 0.852 0.852
C1 0.500 0.271 0.271

Main lines, by intensity (10 to 80 degrees two-theta):
- d = 2.202 Å, rel. 100
- d = 2.493 Å, rel. 100
- d = 5.029 Å, rel. 73
- d = 3.378 Å, rel. 69
- d = 2.514 Å, rel. 51
- d = 2.635 Å, rel. 50
- d = 2.280 Å, rel. 48
- d = 5.957 Å, rel. 33
- d = 1.689 Å, rel. 29
- d = 3.229 Å, rel. 27